Record 1
Diffraction record for Sm2DyY2Er2. The powder XRD pattern is calculated, not measured: it uses the PBE geometry in Alexandria and λ = 1.5418 Å (Cu Kα).

Principal peaks in the range 5° ≤ 2θ ≤ 70°, by angle:
29.30°, rel. 39.6, (2 0 -3); 30.25°, rel. 48.4, (4 0 1); 30.97°, rel. 100.0, (1 1 -2); 31.72°, rel. 60.3, (1 1 2); 31.99°, rel. 40.3, (4 0 -2); 32.46°, rel. 72.7, (3 1 0); 55.47°, rel. 28.5, (3 1 -5); 58.22°, rel. 28.6, (7 1 1)

Cell and atoms:
```
data_Sm2DyY2Er2
_chemical_formula_sum 'Sm4 Dy2 Y4 Er4'
_symmetry_space_group_name_H-M 'C 1 2/m 1'
_symmetry_Int_Tables_number 12
_cell_length_a 12.792
_cell_length_b 3.629
_cell_length_c 9.950
_cell_angle_alpha 90.00
_cell_angle_beta 95.22
_cell_angle_gamma 90.00
loop_
_symmetry_equiv_pos_as_xyz
'x,y,z'
'-x,-y,-z'
'-x,y,-z'
'x,-y,z'
'x+1/2,y+1/2,z'
'-x+1/2,-y+1/2,-z'
'-x+1/2,y+1/2,-z'
'x+1/2,-y+1/2,z'
loop_
_atom_site_label
_atom_site_fract_x
_atom_site_fract_y
_atom_site_fract_z
_atom_site_occupancy
Sm1 0.229 0.000 0.363 1
Dy1 0.000 0.500 0.500 1
Y1 0.066 0.500 0.153 1
Er1 0.162 0.000 0.884 1
```

---

Record 2
Diffraction record for K2U2O7. The powder XRD pattern is calculated, not measured: it uses the PBE geometry in Alexandria and λ = 1.5418 Å (Cu Kα).

Principal peaks in the range 5° ≤ 2θ ≤ 70°, by angle:
13.00°, rel. 100.0, (0 1 0); 26.01°, rel. 57.1, (1 1 2); 26.17°, rel. 33.2, (0 2 0); 27.11°, rel. 95.4, (1 0 2); 31.13°, rel. 48.4, (1 2 2); 44.01°, rel. 24.1, (1 -2 2); 45.18°, rel. 20.8, (0 1 4); 47.22°, rel. 17.9, (0 0 4)

Cell and atoms:
```
data_K2U2O7
_chemical_formula_sum 'K4 U4 O14'
_symmetry_space_group_name_H-M 'P -1'
_symmetry_Int_Tables_number 2
_cell_length_a 6.947
_cell_length_b 7.194
_cell_length_c 8.028
_cell_angle_alpha 73.83
_cell_angle_beta 89.90
_cell_angle_gamma 80.58
loop_
_symmetry_equiv_pos_as_xyz
'x,y,z'
'-x,-y,-z'
loop_
_atom_site_label
_atom_site_fract_x
_atom_site_fract_y
_atom_site_fract_z
_atom_site_occupancy
K1 0.240 0.489 0.382 1
K2 0.256 0.490 0.874 1
U1 0.000 0.000 0.000 1
U2 0.000 0.000 0.500 1
U3 0.468 0.995 0.252 1
O1 0.053 0.721 0.061 1
O2 0.056 0.721 0.578 1
O3 0.131 0.988 0.253 1
O4 0.310 0.015 0.546 1
O5 0.311 0.013 0.946 1
O6 0.429 0.270 0.184 1
O7 0.488 0.280 0.680 1
```